Calculated powder X-ray diffraction pattern of GaSiHgOsRh for Cu Kα (weighted mean of Kα1 and Kα2), from a GGA-PBE-relaxed structure.

Atomic structure:
a = 2.927 Å, b = 2.927 Å, c = 9.423 Å
α = 90.00°, β = 90.00°, γ = 90.00°
Sites, in units of the cell vectors:
1 Ga 0.000 0.000 0.000
2 Si 0.000 0.000 0.666
3 Hg 0.000 0.000 0.284
4 Os 0.500 0.500 0.819
5 Rh 0.500 0.500 0.516

Top 6 peaks for 15° ≤ 2θ ≤ 90°, sorted by position:
2θ = 18.83°, 4.712 Å, rel. 33; 2θ = 32.02°, 2.795 Å, rel. 92; 2θ = 42.20°, 2.141 Å, rel. 100; 2θ = 43.74°, 2.070 Å, rel. 56; 2θ = 59.45°, 1.555 Å, rel. 24; 2θ = 79.29°, 1.208 Å, rel. 32


Calculated powder X-ray diffraction pattern of CdFeNi6 for Cu Kα (weighted mean of Kα1 and Kα2), from a GGA-PBE-relaxed structure.

Atomic structure:
a = 6.300 Å, b = 6.300 Å, c = 10.317 Å
α = 90.00°, β = 90.00°, γ = 109.76°
Sites, in units of the cell vectors:
1 Cd 0.000 0.000 0.248
2 Cd 0.000 0.000 0.752
3 Cd 0.244 0.756 0.500
4 Cd 0.756 0.244 0.500
5 Fe 0.248 0.752 0.000
6 Fe 0.500 0.500 0.247
7 Fe 0.500 0.500 0.753
8 Fe 0.752 0.248 0.000
9 Ni 0.000 0.000 0.000
10 Ni 0.000 0.000 0.500
11 Ni 0.130 0.386 0.119
12 Ni 0.130 0.386 0.881
13 Ni 0.140 0.385 0.367
14 Ni 0.140 0.385 0.633
15 Ni 0.256 0.744 0.239
16 Ni 0.256 0.744 0.761
17 Ni 0.385 0.140 0.367
18 Ni 0.385 0.140 0.633
19 Ni 0.386 0.130 0.119
20 Ni 0.386 0.130 0.881
21 Ni 0.500 0.500 0.000
22 Ni 0.500 0.500 0.500
23 Ni 0.614 0.870 0.119
24 Ni 0.614 0.870 0.881
25 Ni 0.615 0.860 0.367
26 Ni 0.615 0.860 0.633
27 Ni 0.744 0.256 0.239
28 Ni 0.744 0.256 0.761
29 Ni 0.860 0.615 0.367
30 Ni 0.860 0.615 0.633
31 Ni 0.870 0.614 0.119
32 Ni 0.870 0.614 0.881

Top 6 peaks for 15° ≤ 2θ ≤ 90°, sorted by position:
2θ = 43.06°, 2.101 Å, rel. 100; 2θ = 50.04°, 1.823 Å, rel. 31; 2θ = 50.35°, 1.812 Å, rel. 15; 2θ = 73.72°, 1.285 Å, rel. 17; 2θ = 89.13°, 1.099 Å, rel. 21; 2θ = 89.61°, 1.094 Å, rel. 10


Calculated powder X-ray diffraction pattern of Ho4P3S for Cu Kα (weighted mean of Kα1 and Kα2), from a GGA-PBE-relaxed structure.

Atomic structure:
a = 5.603 Å, b = 5.603 Å, c = 5.603 Å
α = 90.00°, β = 90.00°, γ = 90.00°
Sites, in units of the cell vectors:
1 Ho 0.000 0.000 0.000
2 Ho 0.000 0.500 0.500
3 Ho 0.500 0.000 0.500
4 Ho 0.500 0.500 0.000
5 P 0.000 0.000 0.500
6 P 0.000 0.500 0.000
7 P 0.500 0.000 0.000
8 S 0.500 0.500 0.500

Top 6 peaks for 15° ≤ 2θ ≤ 90°, sorted by position:
2θ = 27.57°, 3.235 Å, rel. 87; 2θ = 31.95°, 2.802 Å, rel. 100; 2θ = 45.81°, 1.981 Å, rel. 73; 2θ = 54.30°, 1.689 Å, rel. 42; 2θ = 56.93°, 1.617 Å, rel. 25; 2θ = 75.95°, 1.253 Å, rel. 33


Calculated powder X-ray diffraction pattern of Pr4HgPd3 for Cu Kα (weighted mean of Kα1 and Kα2), from a GGA-PBE-relaxed structure.

Atomic structure:
a = 3.927 Å, b = 4.756 Å, c = 11.260 Å
α = 90.00°, β = 90.00°, γ = 90.00°
Sites, in units of the cell vectors:
1 Pr 0.000 0.000 0.000
2 Pr 0.000 0.500 0.261
3 Pr 0.500 0.000 0.477
4 Pr 0.500 0.500 0.771
5 Hg 0.000 0.000 0.706
6 Pd 0.000 0.500 0.539
7 Pd 0.500 0.000 0.210
8 Pd 0.500 0.500 0.045

Top 6 peaks for 15° ≤ 2θ ≤ 90°, sorted by position:
2θ = 30.57°, 2.924 Å, rel. 100; 2θ = 31.79°, 2.815 Å, rel. 28; 2θ = 33.01°, 2.713 Å, rel. 21; 2θ = 37.11°, 2.423 Å, rel. 26; 2θ = 37.83°, 2.378 Å, rel. 34; 2θ = 38.19°, 2.357 Å, rel. 73


Calculated powder X-ray diffraction pattern of AcSm4Dy2Ho for Cu Kα (weighted mean of Kα1 and Kα2), from a GGA-PBE-relaxed structure.

Atomic structure:
a = 5.966 Å, b = 5.966 Å, c = 7.704 Å
α = 90.00°, β = 90.00°, γ = 90.00°
Sites, in units of the cell vectors:
1 Ac 0.000 0.000 0.000
2 Sm 0.000 0.500 0.269
3 Sm 0.000 0.500 0.731
4 Sm 0.500 0.000 0.269
5 Sm 0.500 0.000 0.731
6 Dy 0.000 0.000 0.500
7 Dy 0.500 0.500 0.000
8 Ho 0.500 0.500 0.500

Top 6 peaks for 15° ≤ 2θ ≤ 90°, sorted by position:
2θ = 29.96°, 2.983 Å, rel. 58; 2θ = 31.45°, 2.844 Å, rel. 100; 2θ = 42.88°, 2.109 Å, rel. 22; 2θ = 54.13°, 1.694 Å, rel. 44; 2θ = 56.91°, 1.618 Å, rel. 17; 2θ = 87.05°, 1.119 Å, rel. 12